Diffraction record for NbAlP2SO12. The X-ray diffraction stick pattern is calculated, not measured: it uses a DFT-relaxed cell (PBE, the Materials Project) and copper Kα.
No peak broadening, texture or thermal motion is included.

Largest 10 diffraction maxima, by angle, 10° ≤ 2θ ≤ 80°:
Position (°2θ)	intensity
14.35	79
20.03	70
20.67	32
23.98	100
24.20	10
25.25	19
28.85	19
28.98	36
32.03	53
52.71	16

Atomic structure:
a = 8.608 Å, b = 8.608 Å, c = 8.875 Å
α = 119.01°, β = 119.01°, γ = 59.73°
Atoms (fractional coordinates):
1 Nb 0.241 0.759 0.500
2 Nb 0.759 0.241 0.000
3 Al 0.036 0.532 0.851
4 Al 0.532 0.036 0.351
5 P 0.160 0.350 0.163
6 P 0.350 0.160 0.663
7 P 0.845 0.909 0.163
8 P 0.909 0.845 0.663
9 S 0.417 0.656 0.165
10 S 0.656 0.417 0.665
11 O 0.026 0.893 0.336
12 O 0.095 0.821 0.644
13 O 0.129 0.385 0.997
14 O 0.176 0.529 0.335
15 O 0.178 0.330 0.700
16 O 0.255 0.627 0.004
17 O 0.328 0.976 0.638
18 O 0.330 0.178 0.200
19 O 0.385 0.129 0.497
20 O 0.401 0.668 0.330
21 O 0.445 0.822 0.192
22 O 0.486 0.596 0.644
23 O 0.529 0.176 0.835
24 O 0.596 0.486 0.144
25 O 0.627 0.255 0.504
26 O 0.668 0.401 0.830
27 O 0.676 0.946 0.202
28 O 0.740 0.885 0.499
29 O 0.821 0.095 0.144
30 O 0.822 0.445 0.692
31 O 0.885 0.740 0.999
32 O 0.893 0.026 0.836
33 O 0.946 0.676 0.702
34 O 0.976 0.328 0.138